Theoretical XRD peak list of BaGd2Mn2O7 for Cu Ka, from a GGA+U-relaxed structure.
Peak positions follow from Bragg's law for the DFT cell and can differ from measured ones.

Crystal structure
Cell lengths 5.644, 5.644, 20.107 Å; angles 90.00, 90.00, 90.00 degrees
Fractional positions:
Ba: 0.244 0.244 0.000
Ba: 0.256 0.744 0.500
Ba: 0.744 0.256 0.500
Ba: 0.756 0.756 0.000
Gd: 0.225 0.225 0.184
Gd: 0.225 0.225 0.816
Gd: 0.275 0.725 0.316
Gd: 0.275 0.725 0.684
Gd: 0.725 0.275 0.316
Gd: 0.725 0.275 0.684
Gd: 0.775 0.775 0.184
Gd: 0.775 0.775 0.816
Mn: 0.245 0.245 0.397
Mn: 0.245 0.245 0.603
Mn: 0.255 0.745 0.103
Mn: 0.255 0.745 0.897
Mn: 0.745 0.255 0.103
Mn: 0.745 0.255 0.897
Mn: 0.755 0.755 0.397
Mn: 0.755 0.755 0.603
O: 0.000 0.000 0.098
O: 0.000 0.000 0.374
O: 0.000 0.000 0.626
O: 0.000 0.000 0.902
O: 0.000 0.500 0.113
O: 0.000 0.500 0.387
O: 0.000 0.500 0.613
O: 0.000 0.500 0.887
O: 0.190 0.810 0.211
O: 0.190 0.810 0.789
O: 0.227 0.227 0.500
O: 0.273 0.727 0.000
O: 0.310 0.310 0.289
O: 0.310 0.310 0.711
O: 0.500 0.000 0.113
O: 0.500 0.000 0.387
O: 0.500 0.000 0.613
O: 0.500 0.000 0.887
O: 0.500 0.500 0.126
O: 0.500 0.500 0.402
O: 0.500 0.500 0.598
O: 0.500 0.500 0.874
O: 0.690 0.690 0.289
O: 0.690 0.690 0.711
O: 0.727 0.273 0.000
O: 0.773 0.773 0.500
O: 0.810 0.190 0.211
O: 0.810 0.190 0.789

Most intense lines, 2θ = 5–70°, sorted by position:
index  Position (°2θ)  d_spacing  I_rel
1 1 1  22.72  3.914  20
0 0 6  26.60  3.351  14
1 1 5  31.59  2.833  100
2 0 0  31.71  2.822  60
2 0 6  41.85  2.158  23
2 2 0  45.46  1.995  32
1 1 11  55.28  1.662  12
2 0 10  56.17  1.638  14
3 1 5  56.41  1.631  36
2 2 10  65.95  1.416  11